La8Nd4Ho: simulated PXRD pattern (Cu Kα X-rays), based on a GGA-PBE-relaxed structure.
Lines closer than 0.1° are merged.

Atomic structure:
```
data_La8Nd4Ho
_chemical_formula_sum 'La24 Nd12 Ho3'
_cell_length_a 11.9239
_cell_length_b 11.9239
_cell_length_c 11.9960
_cell_angle_alpha 90.00
_cell_angle_beta 90.00
_cell_angle_gamma 120.00
_space_group_name_H-M_alt 'R -3 m'
_space_group_IT_number 166
_space_group_name_Hall '-R 3 2"'
loop_
_atom_site_label
_atom_site_fract_x
_atom_site_fract_y
_atom_site_fract_z
La1 0.0000 0.0000 0.2376
La2 0.0011 0.5005 0.6709
Nd1 0.0000 0.0000 0.0000
Nd2 0.0000 0.5000 0.0000
Ho1 0.0000 0.0000 0.5000
```

Top 10 peaks for 10 to 90 degrees two-theta, in order of falling intensity:
Position (°2θ)	I (rel.)
29.98	100
37.64	44
22.23	29
53.22	20
26.85	20
55.33	18
62.29	12
58.37	12
34.38	10
86.35	10